[1]
Calculated XRD peak list of BiPt3 for Cu Kα, from DFT lattice parameters and positions (GGA-PBE).
Lines closer than 0.1° are merged.

Top 8 peaks for 2θ from 10° to 80°, sorted by position:
2theta	d_spacing	I (rel.)
37.27	2.413	1000
41.85	2.159	182
44.02	2.057	316
62.35	1.489	229
64.01	1.455	106
73.40	1.290	143
76.46	1.246	257
79.44	1.206	117

Structure:
abc: 5.206 5.206 5.206
angles: 133.45 133.45 67.95
Atoms (fractional coordinates):
1 Bi 0.000 0.000 0.000
2 Pt 0.250 0.750 0.500
3 Pt 0.500 0.500 0.000
4 Pt 0.750 0.250 0.500

[2]
Calculated XRD peak list of CsPaGaI6 for Cu Kα, from DFT lattice parameters and positions (GGA-PBE).
Lines closer than 0.1° are merged.

Top 10 peaks for 2θ from 10° to 80°, sorted by position:
2theta	d_spacing	I (rel.)
10.59	8.352	365
13.38	6.619	321
16.24	5.458	630
23.89	3.725	1000
30.32	2.948	963
34.61	2.592	318
37.42	2.403	466
38.94	2.313	364
48.90	1.863	205
63.13	1.473	205

Structure:
abc: 8.325 8.325 16.704
angles: 90.00 90.00 120.00
Atoms (fractional coordinates):
1 Cs 0.000 0.000 0.000
2 Cs 0.000 0.000 0.500
3 Pa 0.333 0.667 0.250
4 Pa 0.667 0.333 0.750
5 Ga 0.333 0.667 0.750
6 Ga 0.667 0.333 0.250
7 I 0.022 0.381 0.145
8 I 0.022 0.641 0.355
9 I 0.359 0.381 0.355
10 I 0.359 0.978 0.145
11 I 0.381 0.022 0.645
12 I 0.381 0.359 0.855
13 I 0.619 0.641 0.145
14 I 0.619 0.978 0.355
15 I 0.641 0.022 0.855
16 I 0.641 0.619 0.645
17 I 0.978 0.359 0.645
18 I 0.978 0.619 0.855

[3]
Calculated XRD peak list of CuSn3Pd12 for Cu Kα, from DFT lattice parameters and positions (GGA-PBE).
Lines closer than 0.1° are merged.

Top 10 peaks for 2θ from 10° to 80°, sorted by position:
2theta	d_spacing	I (rel.)
35.79	2.509	12
38.91	2.314	1000
45.00	2.015	336
45.73	1.984	149
61.58	1.506	10
65.52	1.425	108
66.09	1.414	196
73.57	1.287	13
78.91	1.213	250
79.96	1.200	105

Structure:
abc: 4.029 4.029 15.873
angles: 90.00 90.00 90.00
Atoms (fractional coordinates):
1 Cu 0.000 0.000 0.000
2 Sn 0.000 0.000 0.242
3 Sn 0.000 0.000 0.500
4 Sn 0.000 0.000 0.758
5 Pd 0.000 0.500 0.118
6 Pd 0.000 0.500 0.372
7 Pd 0.000 0.500 0.628
8 Pd 0.000 0.500 0.882
9 Pd 0.500 0.000 0.118
10 Pd 0.500 0.000 0.372
11 Pd 0.500 0.000 0.628
12 Pd 0.500 0.000 0.882
13 Pd 0.500 0.500 0.000
14 Pd 0.500 0.500 0.246
15 Pd 0.500 0.500 0.500
16 Pd 0.500 0.500 0.754

[4]
Calculated XRD peak list of NaIn11Ga for Cu Kα, from DFT lattice parameters and positions (GGA-PBE).
Lines closer than 0.1° are merged.

Top 10 peaks for 2θ from 10° to 80°, sorted by position:
2theta	d_spacing	I (rel.)
29.17	3.061	388
31.79	2.815	571
32.46	2.758	950
32.89	2.723	510
33.50	2.675	615
34.96	2.567	494
36.22	2.480	592
36.60	2.455	1000
38.13	2.360	772
39.25	2.295	371

Structure:
abc: 8.304 8.304 8.220
angles: 96.09 96.09 137.88
Atoms (fractional coordinates):
1 Na 0.000 0.000 0.000
2 In 0.000 0.000 0.500
3 In 0.000 0.500 0.000
4 In 0.007 0.360 0.360
5 In 0.298 0.501 0.791
6 In 0.360 0.007 0.360
7 In 0.499 0.702 0.209
8 In 0.500 0.000 0.000
9 In 0.501 0.298 0.791
10 In 0.640 0.993 0.640
11 In 0.702 0.499 0.209
12 In 0.993 0.640 0.640
13 Ga 0.500 0.500 0.500

Question: Number 1 is which compound?
Answer: BiPt3

Question: What is the formula in the second record?
Answer: CsPaGaI6